(1)
Diffraction record for In. The PXRD pattern is theoretical, not measured: it uses DFT lattice parameters and positions (PBE) and a wavelength of 1.5418 Å.

Structure:
Cell: 3.4225 3.4225 5.5760 Å, 90.00 90.00 120.00°
Space group P6_3/mmc (No. 194)
One atom of each set of equivalent atoms:
In: 0.3333 0.6667 0.2500

Main lines, low angle first (2θ = 10–90°):
| 2θ (°) | d [Å] | I/Imax |
| --- | --- | --- |
| 30.15 | 2.964 | 23 |
| 32.10 | 2.788 | 26 |
| 34.26 | 2.617 | 100 |
| 44.62 | 2.031 | 16 |
| 53.55 | 1.711 | 18 |
| 58.63 | 1.575 | 20 |
| 63.82 | 1.458 | 21 |
| 65.13 | 1.432 | 15 |
| 83.41 | 1.159 | 7 |
| 89.16 | 1.098 | 13 |


(2)
Diffraction record for LaPr3Al4O12. The PXRD pattern is theoretical, not measured: it uses DFT lattice parameters and positions (PBE) and a wavelength of 1.5418 Å.

Structure:
Cell: 5.3814 5.3814 26.1949 Å, 90.00 90.00 120.00°
Space group R32 (No. 155, hexagonal axes)
One atom of each set of equivalent atoms:
La: 0.0000 0.0000 0.0000
Pr: 0.0000 0.0000 0.2498
Pr: 0.0000 0.0000 0.5000
Al: 0.0000 0.0000 0.1251
Al: 0.0000 0.0000 0.3751
O: 0.0000 0.4601 0.5000
O: 0.0000 0.4631 0.0000
O: 0.0009 0.5403 0.2497

Main lines, low angle first (2θ = 10–90°):
| 2θ (°) | d [Å] | I/Imax |
| --- | --- | --- |
| 23.43 | 3.797 | 98 |
| 33.30 | 2.691 | 99 |
| 33.45 | 2.679 | 100 |
| 41.12 | 2.195 | 61 |
| 41.36 | 2.183 | 21 |
| 47.92 | 1.899 | 69 |
| 53.90 | 1.701 | 23 |
| 54.10 | 1.695 | 22 |
| 59.57 | 1.552 | 61 |
| 70.27 | 1.340 | 20 |


(3)
Diffraction record for Al3WC4. The PXRD pattern is theoretical, not measured: it uses DFT lattice parameters and positions (PBE) and a wavelength of 1.5418 Å.

Structure:
Cell: 2.664 3.031 10.434 Å, 90.00 90.00 90.00°
Space group Pmm2 (No. 25)
One atom of each set of equivalent atoms:
Al: 0.000 0.000 0.000
Al: 0.000 0.000 0.499
Al: 0.000 0.500 0.751
W: 0.000 0.500 0.259
C: 0.500 0.000 0.180
C: 0.500 0.000 0.668
C: 0.500 0.500 0.414
C: 0.500 0.500 0.920

Main lines, low angle first (2θ = 10–90°):
| 2θ (°) | d [Å] | I/Imax |
| --- | --- | --- |
| 17.00 | 5.217 | 100 |
| 25.61 | 3.478 | 39 |
| 30.72 | 2.911 | 48 |
| 33.64 | 2.664 | 38 |
| 34.21 | 2.621 | 92 |
| 34.38 | 2.608 | 44 |
| 34.75 | 2.582 | 34 |
| 46.19 | 1.965 | 32 |
| 48.74 | 1.868 | 89 |
| 48.86 | 1.864 | 45 |


(4)
Diffraction record for PrFeGe3. The PXRD pattern is theoretical, not measured: it uses DFT lattice parameters and positions (PBE) and a wavelength of 1.5418 Å.

Structure:
Cell: 4.336 4.336 10.011 Å, 90.00 90.00 90.00°
Space group I4mm (No. 107)
One atom of each set of equivalent atoms:
Pr: 0.000 0.000 0.000
Fe: 0.000 0.000 0.666
Ge: 0.000 0.000 0.439
Ge: 0.000 0.500 0.256

Main lines, low angle first (2θ = 10–90°):
| 2θ (°) | d [Å] | I/Imax |
| --- | --- | --- |
| 29.12 | 3.066 | 12 |
| 33.90 | 2.645 | 34 |
| 34.30 | 2.615 | 100 |
| 35.88 | 2.503 | 18 |
| 41.66 | 2.168 | 52 |
| 54.75 | 1.677 | 17 |
| 56.12 | 1.639 | 19 |
| 60.38 | 1.533 | 17 |
| 63.47 | 1.466 | 14 |
| 71.31 | 1.323 | 24 |


(5)
Diffraction record for Li2NbOF5. The PXRD pattern is theoretical, not measured: it uses DFT lattice parameters and positions (PBE) and a wavelength of 1.5418 Å.

Structure:
Cell: 5.041 8.714 4.652 Å, 90.00 90.70 90.00°
Space group Cm (No. 8)
One atom of each set of equivalent atoms:
Li: 0.000 0.161 0.000
Nb: 0.022 0.500 0.515
O: 0.308 0.500 0.743
F: 0.151 0.338 0.244
F: 0.174 0.000 0.242
F: 0.332 0.161 0.741

Main lines, low angle first (2θ = 10–90°):
| 2θ (°) | d [Å] | I/Imax |
| --- | --- | --- |
| 19.08 | 4.651 | 31 |
| 20.36 | 4.361 | 100 |
| 27.89 | 3.199 | 33 |
| 28.06 | 3.180 | 32 |
| 28.19 | 3.165 | 34 |
| 40.66 | 2.219 | 38 |
| 40.93 | 2.205 | 19 |
| 53.49 | 1.713 | 13 |
| 59.66 | 1.550 | 12 |
| 64.00 | 1.455 | 13 |


(6)
Diffraction record for Cs2TlGaCl6. The PXRD pattern is theoretical, not measured: it uses DFT lattice parameters and positions (PBE) and a wavelength of 1.5418 Å.

Structure:
Cell: 10.965 10.965 10.965 Å, 90.00 90.00 90.00°
Space group Fm-3m (No. 225)
One atom of each set of equivalent atoms:
Cs: 0.250 0.250 0.250
Tl: 0.000 0.000 0.000
Ga: 0.000 0.000 0.500
Cl: 0.000 0.000 0.280

Main lines, low angle first (2θ = 10–90°):
| 2θ (°) | d [Å] | I/Imax |
| --- | --- | --- |
| 22.94 | 3.877 | 100 |
| 26.97 | 3.306 | 11 |
| 32.67 | 2.741 | 50 |
| 40.29 | 2.238 | 43 |
| 46.87 | 1.938 | 33 |
| 52.80 | 1.734 | 25 |
| 58.30 | 1.583 | 11 |
| 63.49 | 1.465 | 27 |
| 73.25 | 1.292 | 12 |
| 77.93 | 1.226 | 13 |